(1)
This entry pairs a crystal structure of TePb5O8 with its computed powder diffractogram. Radiation: λ = 1.5418 Å (Cu Kα). Structure: the PBE geometry in the Materials Project.
Intensities are scaled so that the largest is 100.

The 10 most intense peaks (5° ≤ 2θ ≤ 70°), sorted by position:
Position (°2θ)  Rel. int.
28.49  9
28.69  100
28.90  34
29.11  38
29.80  12
40.60  10
41.47  13
47.89  8
51.34  18
56.43  9

```
TePb5O8
1.0
7.599 0.000 0.000
0.000 12.271 0.000
-7.448 0.000 10.851
Te Pb O
4 20 32
direct
0.072 0.114 0.218
0.072 0.386 0.718
0.928 0.614 0.282
0.928 0.886 0.782
0.176 0.120 0.545
0.176 0.380 0.045
0.215 0.607 0.600
0.215 0.893 0.100
0.274 0.120 0.877
0.274 0.380 0.377
0.285 0.655 0.920
0.285 0.845 0.420
0.412 0.628 0.242
0.412 0.872 0.742
0.588 0.128 0.258
0.588 0.372 0.758
0.715 0.155 0.580
0.715 0.345 0.080
0.726 0.620 0.623
0.726 0.880 0.123
0.785 0.107 0.900
0.785 0.393 0.400
0.824 0.620 0.955
0.824 0.880 0.455
0.023 0.653 0.178
0.023 0.847 0.678
0.063 0.231 0.675
0.063 0.269 0.175
0.065 0.545 0.747
0.065 0.955 0.247
0.154 0.076 0.101
0.154 0.424 0.601
0.174 0.575 0.030
0.174 0.925 0.530
0.230 0.592 0.425
0.230 0.908 0.925
0.372 0.119 0.349
0.372 0.381 0.849
0.419 0.050 0.783
0.419 0.450 0.283
0.581 0.550 0.717
0.581 0.950 0.217
0.628 0.619 0.151
0.628 0.881 0.651
0.770 0.092 0.075
0.770 0.408 0.575
0.826 0.075 0.470
0.826 0.425 0.970
0.846 0.576 0.399
0.846 0.924 0.899
0.935 0.045 0.753
0.935 0.455 0.253
0.937 0.731 0.825
0.937 0.769 0.325
0.977 0.153 0.322
0.977 0.347 0.822
```

(2)
This entry pairs a crystal structure of Na3ZrF8 with its computed powder diffractogram. Radiation: λ = 1.5418 Å (Cu Kα). Structure: the PBE geometry in the Materials Project.
Intensities are scaled so that the largest is 100.

The 10 most intense peaks (5° ≤ 2θ ≤ 70°), sorted by position:
Position (°2θ)  Rel. int.
16.34  24
18.32  66
23.24  13
28.54  86
29.71  9
45.06  13
47.47  100
56.33  34
57.02  10
69.46  8

```
Na3ZrF8
1.0
-2.706 2.706 5.424
2.706 -2.706 5.424
2.706 2.706 -5.424
Na Zr F
3 1 8
direct
0.000 0.000 0.000
0.250 0.750 0.500
0.750 0.250 0.500
0.500 0.500 0.000
0.155 0.155 0.541
0.155 0.614 0.000
0.386 0.386 0.541
0.386 0.845 0.000
0.614 0.155 0.000
0.614 0.614 0.459
0.845 0.386 0.000
0.845 0.845 0.459
```

(3)
This entry pairs a crystal structure of In3CuAs2Se2 with its computed powder diffractogram. Radiation: λ = 1.5418 Å (Cu Kα). Structure: the PBE geometry in the Materials Project.
Intensities are scaled so that the largest is 100.

The 10 most intense peaks (5° ≤ 2θ ≤ 70°), sorted by position:
Position (°2θ)  Rel. int.
25.64  100
37.37  3
42.22  26
42.62  46
50.05  31
50.75  13
61.24  8
62.47  3
67.50  6
68.08  10

```
In3CuAs2Se2
1.0
4.281 0.000 0.000
0.000 4.281 0.000
0.000 0.000 11.894
In Cu As Se
3 1 2 2
direct
0.000 0.000 0.000
0.500 0.500 0.261
0.500 0.500 0.739
0.000 0.000 0.500
0.000 0.500 0.130
0.500 0.000 0.870
0.000 0.500 0.603
0.500 0.000 0.397
```

(4)
This entry pairs a crystal structure of MgCu3Sn4O12 with its computed powder diffractogram. Radiation: λ = 1.5418 Å (Cu Kα). Structure: the PBE geometry in the Materials Project.
Intensities are scaled so that the largest is 100.

The 10 most intense peaks (5° ≤ 2θ ≤ 70°), sorted by position:
Position (°2θ)  Rel. int.
22.21  27
23.03  43
31.04  30
31.86  100
32.45  69
33.34  42
45.32  21
46.04  25
58.02  23
58.29  24

```
MgCu3Sn4O12
1.0
5.378 -3.943 0.000
5.378 3.943 0.000
-5.172 0.000 5.762
Mg Cu Sn O
1 3 4 12
direct
0.000 0.000 0.000
0.461 0.461 0.839
0.892 0.892 0.623
0.966 0.966 0.342
0.458 0.961 0.338
0.460 0.965 0.848
0.961 0.458 0.338
0.965 0.460 0.848
0.131 0.785 0.149
0.141 0.794 0.530
0.269 0.269 0.465
0.287 0.287 0.852
0.329 0.970 0.035
0.605 0.966 0.660
0.634 0.634 0.823
0.644 0.644 0.208
0.785 0.131 0.149
0.794 0.141 0.530
0.966 0.605 0.660
0.970 0.329 0.035
```